# Ho2Se3O12
Calculated powder diffraction line list, a wavelength of 1.5418 Å. Input: DFT lattice parameters and positions (GGA-PBE).

Top 10 peaks for 10° ≤ 2θ ≤ 80°, by angle:
- 2θ 12.78, I = 56
- 2θ 17.77, I = 83
- 2θ 18.45, I = 52
- 2θ 21.35, I = 100
- 2θ 25.72, I = 73
- 2θ 28.38, I = 80
- 2θ 31.84, I = 43
- 2θ 32.24, I = 53
- 2θ 43.49, I = 28
- 2θ 49.92, I = 23

Structure:
a b c (Å): 9.9976 9.9976 9.9976
angles (deg): 57.50 57.50 57.50
Element x y z (fractional)
Ho 0.1443 0.1443 0.1443
Ho 0.3557 0.3557 0.3557
Ho 0.6443 0.6443 0.6443
Ho 0.8557 0.8557 0.8557
Se 0.0351 0.7500 0.4649
Se 0.2500 0.5351 0.9649
Se 0.4649 0.0351 0.7500
Se 0.5351 0.9649 0.2500
Se 0.7500 0.4649 0.0351
Se 0.9649 0.2500 0.5351
O 0.0080 0.7689 0.6340
O 0.0641 0.9198 0.2950
O 0.0802 0.7050 0.9359
O 0.1340 0.2689 0.5080
O 0.2050 0.5802 0.4359
O 0.2311 0.3660 0.9920
O 0.2689 0.5080 0.1340
O 0.2950 0.0641 0.9198
O 0.3660 0.9920 0.2311
O 0.4198 0.5641 0.7950
O 0.4359 0.2050 0.5802
O 0.4920 0.8660 0.7311
O 0.5080 0.1340 0.2689
O 0.5641 0.7950 0.4198
O 0.5802 0.4359 0.2050
O 0.6340 0.0080 0.7689
O 0.7050 0.9359 0.0802
O 0.7311 0.4920 0.8660
O 0.7689 0.6340 0.0080
O 0.7950 0.4198 0.5641
O 0.8660 0.7311 0.4920
O 0.9198 0.2950 0.0641
O 0.9359 0.0802 0.7050
O 0.9920 0.2311 0.3660